Entry 1:
# K2ReBr6
Theoretical PXRD pattern, copper Kα. Input: a DFT-relaxed cell (GGA-PBE, the Materials Project).
No peak broadening, texture or thermal motion is included.

Largest 10 diffraction maxima, in order of rising 2θ, 10° ≤ 2θ ≤ 90°:
2theta, intensity
14.36, 90
16.59, 70
27.69, 34
28.94, 53
33.54, 100
37.64, 35
44.03, 25
48.17, 69
59.98, 23
80.37, 28

Atomic structure:
a = 7.556 Å, b = 7.556 Å, c = 7.556 Å
α = 60.00°, β = 60.00°, γ = 60.00°
Sites, in units of the cell vectors:
K 0.250 0.250 0.250
K 0.750 0.750 0.750
Re 0.000 0.000 0.000
Br 0.237 0.237 0.763
Br 0.237 0.763 0.237
Br 0.237 0.763 0.763
Br 0.763 0.237 0.237
Br 0.763 0.237 0.763
Br 0.763 0.763 0.237

Entry 2:
# K2TlSbBr6
Theoretical PXRD pattern, copper Kα. Input: a DFT-relaxed cell (GGA-PBE, the Materials Project).
No peak broadening, texture or thermal motion is included.

Largest 10 diffraction maxima, in order of rising 2θ, 10° ≤ 2θ ≤ 90°:
2theta, intensity
14.93, 100
21.17, 33
30.12, 92
33.78, 54
43.12, 66
45.88, 29
53.49, 22
64.78, 16
71.04, 27
79.06, 20

Atomic structure:
a = 8.392 Å, b = 8.392 Å, c = 8.392 Å
α = 60.00°, β = 60.00°, γ = 60.00°
Sites, in units of the cell vectors:
K 0.250 0.250 0.250
K 0.750 0.750 0.750
Tl 0.000 0.000 0.000
Sb 0.500 0.500 0.500
Br 0.263 0.263 0.737
Br 0.263 0.737 0.263
Br 0.263 0.737 0.737
Br 0.737 0.263 0.263
Br 0.737 0.263 0.737
Br 0.737 0.737 0.263

Entry 3:
# KSm2Br5
Theoretical PXRD pattern, copper Kα. Input: a DFT-relaxed cell (GGA-PBE, the Materials Project).
No peak broadening, texture or thermal motion is included.

Largest 10 diffraction maxima, in order of rising 2θ, 10° ≤ 2θ ≤ 90°:
2theta, intensity
23.64, 27
26.88, 24
28.02, 35
29.76, 36
31.45, 100
32.02, 27
32.12, 77
33.37, 44
39.13, 22
39.42, 62

Atomic structure:
a = 9.143 Å, b = 7.524 Å, c = 14.058 Å
α = 90.00°, β = 90.07°, γ = 90.00°
Sites, in units of the cell vectors:
K 0.002 0.059 0.339
K 0.002 0.441 0.839
K 0.998 0.559 0.161
K 0.998 0.941 0.661
Sm 0.300 0.032 0.999
Sm 0.300 0.468 0.499
Sm 0.492 0.610 0.156
Sm 0.492 0.890 0.656
Sm 0.508 0.110 0.344
Sm 0.508 0.390 0.844
Sm 0.700 0.532 0.501
Sm 0.700 0.968 0.001
Br 0.029 0.676 0.426
Br 0.029 0.824 0.926
Br 0.249 0.644 0.685
Br 0.249 0.856 0.185
Br 0.260 0.160 0.794
Br 0.260 0.340 0.294
Br 0.292 0.048 0.500
Br 0.292 0.452 0.000
Br 0.475 0.694 0.366
Br 0.475 0.806 0.866
Br 0.525 0.194 0.134
Br 0.525 0.306 0.634
Br 0.708 0.548 0.000
Br 0.708 0.952 0.500
Br 0.740 0.660 0.706
Br 0.740 0.840 0.206
Br 0.751 0.144 0.815
Br 0.751 0.356 0.315
Br 0.971 0.176 0.074
Br 0.971 0.324 0.574

Entry 4:
# K2SmBr5
Theoretical PXRD pattern, copper Kα. Input: a DFT-relaxed cell (GGA-PBE, the Materials Project).
No peak broadening, texture or thermal motion is included.

Largest 10 diffraction maxima, in order of rising 2θ, 10° ≤ 2θ ≤ 90°:
2theta, intensity
12.22, 100
13.01, 61
19.32, 46
25.63, 48
28.22, 69
29.29, 87
31.47, 66
32.77, 55
35.50, 58
39.27, 53

Atomic structure:
a = 13.610 Å, b = 9.176 Å, c = 8.558 Å
α = 90.00°, β = 90.00°, γ = 90.00°
Sites, in units of the cell vectors:
K 0.172 0.005 0.051
K 0.172 0.495 0.051
K 0.328 0.505 0.551
K 0.328 0.995 0.551
K 0.672 0.005 0.449
K 0.672 0.495 0.449
K 0.828 0.505 0.949
K 0.828 0.995 0.949
Sm 0.005 0.250 0.577
Sm 0.495 0.750 0.077
Sm 0.505 0.250 0.923
Sm 0.995 0.750 0.423
Br 0.008 0.250 0.922
Br 0.076 0.543 0.664
Br 0.076 0.957 0.664
Br 0.178 0.250 0.375
Br 0.203 0.750 0.337
Br 0.297 0.250 0.837
Br 0.322 0.750 0.875
Br 0.424 0.043 0.164
Br 0.424 0.457 0.164
Br 0.492 0.750 0.422
Br 0.508 0.250 0.578
Br 0.576 0.543 0.836
Br 0.576 0.957 0.836
Br 0.678 0.250 0.125
Br 0.703 0.750 0.163
Br 0.797 0.250 0.663
Br 0.822 0.750 0.625
Br 0.924 0.043 0.336
Br 0.924 0.457 0.336
Br 0.992 0.750 0.078

Entry 5:
# KSn2Br5
Theoretical PXRD pattern, copper Kα. Input: a DFT-relaxed cell (GGA-PBE, the Materials Project).
No peak broadening, texture or thermal motion is included.

Largest 10 diffraction maxima, in order of rising 2θ, 10° ≤ 2θ ≤ 90°:
2theta, intensity
11.76, 45
20.96, 12
28.00, 11
29.53, 100
29.81, 14
33.42, 41
38.18, 31
47.81, 29
54.01, 14
60.09, 13

Atomic structure:
a = 9.620 Å, b = 9.620 Å, c = 9.620 Å
α = 127.71°, β = 127.71°, γ = 77.10°
Sites, in units of the cell vectors:
K 0.250 0.250 0.000
K 0.750 0.750 0.000
Sn 0.177 0.677 0.854
Sn 0.323 0.177 0.500
Sn 0.677 0.823 0.500
Sn 0.823 0.323 0.146
Br 0.000 0.000 0.000
Br 0.029 0.204 0.500
Br 0.204 0.704 0.175
Br 0.296 0.471 0.500
Br 0.471 0.971 0.175
Br 0.500 0.500 0.000
Br 0.529 0.029 0.825
Br 0.704 0.529 0.500
Br 0.796 0.296 0.825
Br 0.971 0.796 0.500

Entry 6:
# KSnBr3
Theoretical PXRD pattern, copper Kα. Input: a DFT-relaxed cell (GGA-PBE, the Materials Project).
No peak broadening, texture or thermal motion is included.

Largest 10 diffraction maxima, in order of rising 2θ, 10° ≤ 2θ ≤ 90°:
2theta, intensity
10.87, 31
14.23, 32
27.59, 64
28.94, 36
29.21, 100
33.93, 39
39.89, 49
40.95, 45
44.82, 35
58.51, 31

Atomic structure:
a = 9.651 Å, b = 4.519 Å, c = 16.280 Å
α = 90.00°, β = 90.00°, γ = 90.00°
Sites, in units of the cell vectors:
K 0.081 0.250 0.173
K 0.419 0.750 0.673
K 0.581 0.250 0.327
K 0.919 0.750 0.827
Sn 0.164 0.750 0.438
Sn 0.336 0.250 0.938
Sn 0.664 0.750 0.062
Sn 0.836 0.250 0.562
Br 0.025 0.750 0.619
Br 0.159 0.750 0.003
Br 0.201 0.250 0.786
Br 0.299 0.750 0.286
Br 0.341 0.250 0.503
Br 0.475 0.250 0.119
Br 0.525 0.750 0.881
Br 0.659 0.750 0.497
Br 0.701 0.250 0.714
Br 0.799 0.750 0.214
Br 0.841 0.250 0.997
Br 0.975 0.250 0.381